Entry 1:
This entry pairs a crystal structure of V2FeO6 with its calculated X-ray diffraction stick pattern. Radiation: Cu Kα. Structure: a PBE+U-relaxed structure.
Intensities are scaled so that the largest is 100.

Principal peaks in the range 10° ≤ 2θ ≤ 90°, in order of rising 2θ:
d = 6.649 Å, I = 19; d = 4.886 Å, I = 43; d = 4.645 Å, I = 50; d = 3.819 Å, I = 26; d = 3.221 Å, I = 100; d = 3.003 Å, I = 62; d = 2.770 Å, I = 45; d = 2.584 Å, I = 26; d = 2.061 Å, I = 24; d = 1.700 Å, I = 20

Structure:
a b c (Å): 6.887 6.887 5.917
angles (deg): 105.04 105.04 84.83
Fractional coordinates of all 18 atoms:
V  0.113  0.291  0.242
V  0.291  0.113  0.742
V  0.709  0.887  0.258
V  0.887  0.709  0.758
Fe  0.413  0.587  0.750
Fe  0.587  0.413  0.250
O  0.115  0.595  0.777
O  0.132  0.148  0.947
O  0.148  0.132  0.447
O  0.305  0.460  0.356
O  0.405  0.885  0.723
O  0.460  0.305  0.856
O  0.540  0.695  0.144
O  0.595  0.115  0.277
O  0.695  0.540  0.644
O  0.852  0.868  0.553
O  0.868  0.852  0.053
O  0.885  0.405  0.223

Entry 2:
This entry pairs a crystal structure of V14Fe5O32 with its calculated X-ray diffraction stick pattern. Radiation: Cu Kα. Structure: a PBE+U-relaxed structure.
Intensities are scaled so that the largest is 100.

Principal peaks in the range 10° ≤ 2θ ≤ 90°, in order of rising 2θ:
d = 4.717 Å, I = 50; d = 3.499 Å, I = 47; d = 3.473 Å, I = 100; d = 2.696 Å, I = 49; d = 2.681 Å, I = 75; d = 2.546 Å, I = 53; d = 2.511 Å, I = 57; d = 2.503 Å, I = 95; d = 2.462 Å, I = 43; d = 1.480 Å, I = 73

Structure:
a b c (Å): 5.918 5.924 18.870
angles (deg): 90.32 90.09 118.93
Fractional coordinates of all 51 atoms:
V  0.000  0.000  0.000
V  0.000  0.483  0.111
V  0.001  0.004  0.501
V  0.004  0.518  0.915
V  0.349  0.174  0.862
V  0.357  0.676  0.254
V  0.365  0.682  0.755
V  0.511  0.533  0.012
V  0.518  0.004  0.500
V  0.520  0.524  0.501
V  0.841  0.680  0.251
V  0.847  0.167  0.255
V  0.847  0.167  0.753
V  0.848  0.681  0.754
Fe  0.011  0.508  0.414
Fe  0.020  0.510  0.608
Fe  0.344  0.165  0.156
Fe  0.348  0.176  0.360
Fe  0.349  0.173  0.661
O  0.008  0.520  0.304
O  0.018  0.009  0.305
O  0.020  0.022  0.805
O  0.020  0.507  0.813
O  0.164  0.804  0.183
O  0.165  0.352  0.187
O  0.170  0.861  0.930
O  0.174  0.357  0.691
O  0.175  0.816  0.693
O  0.196  0.333  0.937
O  0.198  0.887  0.438
O  0.202  0.321  0.437
O  0.334  0.183  0.056
O  0.335  0.641  0.060
O  0.348  0.178  0.560
O  0.356  0.665  0.551
O  0.502  0.510  0.804
O  0.511  0.013  0.804
O  0.512  0.013  0.301
O  0.515  0.505  0.304
O  0.635  0.323  0.438
O  0.668  0.365  0.928
O  0.674  0.849  0.700
O  0.687  0.833  0.445
O  0.693  0.830  0.198
O  0.707  0.853  0.955
O  0.708  0.352  0.692
O  0.708  0.354  0.184
O  0.850  0.675  0.548
O  0.853  0.667  0.055
O  0.859  0.167  0.551
O  0.892  0.205  0.062

Entry 3:
This entry pairs a crystal structure of VFeO4 with its calculated X-ray diffraction stick pattern. Radiation: Cu Kα. Structure: a PBE+U-relaxed structure.
Intensities are scaled so that the largest is 100.

Principal peaks in the range 10° ≤ 2θ ≤ 90°, in order of rising 2θ:
d = 4.709 Å, I = 34; d = 4.216 Å, I = 23; d = 3.765 Å, I = 74; d = 3.498 Å, I = 48; d = 2.838 Å, I = 48; d = 2.609 Å, I = 100; d = 2.519 Å, I = 55; d = 2.105 Å, I = 23; d = 1.591 Å, I = 24; d = 1.489 Å, I = 42

Structure:
a b c (Å): 5.082 5.082 6.267
angles (deg): 90.00 90.00 112.10
Fractional coordinates of all 12 atoms:
V  0.144  0.856  0.750
V  0.856  0.144  0.250
Fe  0.500  0.500  0.000
Fe  0.500  0.500  0.500
O  0.240  0.289  0.250
O  0.264  0.736  0.534
O  0.264  0.736  0.966
O  0.289  0.240  0.750
O  0.711  0.760  0.250
O  0.736  0.264  0.034
O  0.736  0.264  0.466
O  0.760  0.711  0.750

Entry 4:
This entry pairs a crystal structure of VFeO4 with its calculated X-ray diffraction stick pattern. Radiation: Cu Kα. Structure: a PBE+U-relaxed structure.
Intensities are scaled so that the largest is 100.

Principal peaks in the range 10° ≤ 2θ ≤ 90°, in order of rising 2θ:
d = 3.422 Å, I = 91; d = 3.127 Å, I = 76; d = 2.690 Å, I = 14; d = 2.532 Å, I = 100; d = 2.175 Å, I = 18; d = 1.749 Å, I = 49; d = 1.666 Å, I = 45; d = 1.564 Å, I = 15; d = 1.514 Å, I = 16; d = 1.372 Å, I = 29

Structure:
a b c (Å): 5.537 5.537 5.537
angles (deg): 113.70 111.23 103.65
Fractional coordinates of all 12 atoms:
V  0.459  0.209  0.250
V  0.541  0.791  0.750
Fe  0.000  0.000  0.500
Fe  0.000  0.500  0.000
O  0.190  0.732  0.459
O  0.227  0.268  0.959
O  0.305  0.282  0.477
O  0.305  0.829  0.023
O  0.695  0.171  0.977
O  0.695  0.718  0.523
O  0.773  0.732  0.041
O  0.810  0.268  0.541

Entry 5:
This entry pairs a crystal structure of V2FeO6 with its calculated X-ray diffraction stick pattern. Radiation: Cu Kα. Structure: a PBE+U-relaxed structure.
Intensities are scaled so that the largest is 100.

Principal peaks in the range 10° ≤ 2θ ≤ 90°, in order of rising 2θ:
d = 4.917 Å, I = 42; d = 4.861 Å, I = 42; d = 4.624 Å, I = 97; d = 3.830 Å, I = 50; d = 3.243 Å, I = 100; d = 3.192 Å, I = 95; d = 3.022 Å, I = 60; d = 2.999 Å, I = 60; d = 2.780 Å, I = 90; d = 1.771 Å, I = 29

Structure:
a b c (Å): 5.934 6.831 6.935
angles (deg): 84.41 74.69 75.26
Fractional coordinates of all 18 atoms:
V  0.242  0.209  0.385
V  0.257  0.613  0.791
V  0.743  0.387  0.209
V  0.758  0.791  0.615
Fe  0.254  0.086  0.910
Fe  0.746  0.914  0.090
O  0.054  0.649  0.633
O  0.147  0.807  0.957
O  0.222  0.094  0.611
O  0.271  0.384  0.908
O  0.359  0.040  0.196
O  0.448  0.371  0.351
O  0.552  0.629  0.649
O  0.641  0.960  0.804
O  0.729  0.616  0.092
O  0.778  0.906  0.389
O  0.853  0.193  0.043
O  0.946  0.351  0.367

Entry 6:
This entry pairs a crystal structure of VFeO4 with its calculated X-ray diffraction stick pattern. Radiation: Cu Kα. Structure: a PBE+U-relaxed structure.
Intensities are scaled so that the largest is 100.

Principal peaks in the range 10° ≤ 2θ ≤ 90°, in order of rising 2θ:
d = 5.391 Å, I = 25; d = 5.107 Å, I = 24; d = 3.583 Å, I = 100; d = 3.318 Å, I = 50; d = 3.286 Å, I = 31; d = 3.229 Å, I = 94; d = 3.069 Å, I = 22; d = 2.883 Å, I = 25; d = 1.689 Å, I = 25; d = 1.656 Å, I = 20

Structure:
a b c (Å): 6.779 8.094 9.393
angles (deg): 96.43 106.57 101.56
Fractional coordinates of all 36 atoms:
V  0.006  0.499  0.262
V  0.199  0.098  0.350
V  0.475  0.194  0.872
V  0.525  0.806  0.128
V  0.801  0.902  0.650
V  0.994  0.501  0.738
Fe  0.029  0.193  0.989
Fe  0.248  0.799  0.592
Fe  0.464  0.388  0.213
Fe  0.536  0.612  0.787
Fe  0.752  0.201  0.408
Fe  0.971  0.807  0.011
O  0.048  0.199  0.430
O  0.051  0.352  0.844
O  0.056  0.028  0.151
O  0.151  0.376  0.179
O  0.161  0.597  0.438
O  0.240  0.638  0.734
O  0.256  0.933  0.436
O  0.265  0.801  0.037
O  0.350  0.006  0.747
O  0.354  0.227  0.020
O  0.454  0.238  0.365
O  0.471  0.372  0.782
O  0.529  0.628  0.218
O  0.546  0.762  0.635
O  0.646  0.773  0.980
O  0.650  0.994  0.253
O  0.735  0.199  0.963
O  0.744  0.067  0.564
O  0.760  0.362  0.266
O  0.839  0.403  0.562
O  0.849  0.624  0.821
O  0.944  0.972  0.849
O  0.949  0.648  0.156
O  0.952  0.801  0.570

Entry 7:
This entry pairs a crystal structure of VFeO4 with its calculated X-ray diffraction stick pattern. Radiation: Cu Kα. Structure: a PBE+U-relaxed structure.
Intensities are scaled so that the largest is 100.

Principal peaks in the range 10° ≤ 2θ ≤ 90°, in order of rising 2θ:
d = 4.864 Å, I = 49; d = 3.932 Å, I = 42; d = 2.943 Å, I = 52; d = 2.891 Å, I = 42; d = 2.587 Å, I = 100; d = 2.518 Å, I = 17; d = 2.395 Å, I = 42; d = 2.133 Å, I = 16; d = 1.621 Å, I = 33; d = 1.446 Å, I = 42

Structure:
a b c (Å): 5.805 5.805 5.805
angles (deg): 119.09 115.57 94.72
Fractional coordinates of all 12 atoms:
V  0.362  0.112  0.250
V  0.638  0.888  0.750
Fe  0.000  0.500  0.500
Fe  0.500  0.500  0.000
O  0.247  0.266  0.519
O  0.247  0.728  0.981
O  0.274  0.242  0.032
O  0.290  0.758  0.532
O  0.710  0.242  0.468
O  0.726  0.758  0.968
O  0.753  0.272  0.019
O  0.753  0.734  0.481